The following is a calculated powder X-ray diffraction pattern of Na2SrAg9. It was derived from a cell relaxed with GGA-PBE, using Cu Ka.
Lines closer than 0.1° are merged.

Structure:
abc: 10.0209 10.0209 10.0209
angles: 32.83 32.83 32.83
Sites, in units of the cell vectors:
Na: 0.1460 0.1460 0.1460
Na: 0.8540 0.8540 0.8540
Sr: 0.0000 0.0000 0.0000
Ag: 0.0831 0.5847 0.5847
Ag: 0.3326 0.3326 0.3326
Ag: 0.4153 0.4153 0.9169
Ag: 0.4153 0.9169 0.4153
Ag: 0.5000 0.5000 0.5000
Ag: 0.5847 0.0831 0.5847
Ag: 0.5847 0.5847 0.0831
Ag: 0.6674 0.6674 0.6674
Ag: 0.9169 0.4153 0.4153

Principal peaks in the range 2θ = 10–80°, low angle first:
18.4°, I 56
36.8°, I 25
37.0°, I 100
37.2°, I 17
38.0°, I 40
40.0°, I 46
43.1°, I 29
59.8°, I 23
66.0°, I 24
78.7°, I 26